Diffraction record for LaTl2Ni3F12. The XRD peak list is calculated, not measured: it uses DFT lattice parameters and positions (PBE+U) and Cu Kα (weighted mean of Kα1 and Kα2).
Intensities are scaled so that the largest is 100.

Principal peaks in the range 5° ≤ 2θ ≤ 70°, in order of rising 2θ:
2θ/deg  intensity  (hkl)
23.69  100  1 1 0
26.48  39  1 0 4
28.01  65  0 2 1
29.25  88  1 1 3
29.72  38  2 0 2
31.58  68  0 1 5
39.86  34  2 0 5
46.90  60  1 2 5
48.48  57  2 2 0
59.02  35  3 1 5

Structure:
Unit cell a=7.5113 b=7.5113 c=15.7339 alpha=90.00 beta=90.00 gamma=120.00
Space group R-3m (No. 166, hexagonal axes)
Inequivalent atoms, fractional coordinates:
1 La 0.0000 0.0000 0.0000 (multiplicity 3)
2 Tl 0.0000 0.0000 0.3929 (multiplicity 6)
3 Ni 0.0000 0.5000 0.5000 (multiplicity 9)
4 F 0.0520 0.5260 0.3745 (multiplicity 18)
5 F 0.0899 0.5449 0.8001 (multiplicity 18)